[1]
Diffraction record for Cs2NaTlCl6. The powder XRD pattern is calculated, not measured: it uses a cell relaxed with PBE and copper Kα.

Peak list (10 most intense, 5 to 70 degrees two-theta, in order of rising 2θ)
- 6.282 Å, 2θ = 14.10°, I = 42
- 3.847 Å, 2θ = 23.12°, I = 100
- 3.281 Å, 2θ = 27.18°, I = 23
- 3.141 Å, 2θ = 28.42°, I = 16
- 2.720 Å, 2θ = 32.93°, I = 60
- 2.221 Å, 2θ = 40.62°, I = 47
- 1.923 Å, 2θ = 47.26°, I = 41
- 1.720 Å, 2θ = 53.25°, I = 22
- 1.570 Å, 2θ = 58.80°, I = 14
- 1.454 Å, 2θ = 64.04°, I = 25

Cell and atoms:
```
Cs2NaTlCl6
1.0
0.000 5.440 5.440
5.440 0.000 5.440
5.440 5.440 0.000
Cs Na Tl Cl
2 1 1 6
Direct
0.250 0.250 0.250
0.750 0.750 0.750
0.000 0.000 0.000
0.500 0.500 0.500
0.258 0.258 0.742
0.258 0.742 0.258
0.258 0.742 0.742
0.742 0.258 0.258
0.742 0.258 0.742
0.742 0.742 0.258
```

***

[2]
Diffraction record for Nd2FeCo3Si4. The powder XRD pattern is calculated, not measured: it uses a cell relaxed with PBE and copper Kα.

Peak list (10 most intense, 5 to 70 degrees two-theta, in order of rising 2θ)
- 3.683 Å, 2θ = 24.16°, I = 48
- 2.548 Å, 2θ = 35.23°, I = 61
- 2.494 Å, 2θ = 36.01°, I = 18
- 2.443 Å, 2θ = 36.78°, I = 100
- 1.982 Å, 2θ = 45.79°, I = 41
- 1.782 Å, 2θ = 51.26°, I = 16
- 1.564 Å, 2θ = 59.06°, I = 27
- 1.552 Å, 2θ = 59.58°, I = 16
- 1.430 Å, 2θ = 65.24°, I = 21
- 1.401 Å, 2θ = 66.75°, I = 13

Cell and atoms:
```
Nd2FeCo3Si4
1.0
3.964 0.000 0.000
0.000 3.964 0.000
0.000 0.000 9.977
Nd Fe Co Si
2 1 3 4
Direct
0.000 0.500 0.248
0.500 0.000 0.752
0.500 0.500 0.000
0.000 0.000 0.000
0.000 0.000 0.500
0.500 0.500 0.500
0.000 0.500 0.617
0.000 0.500 0.887
0.500 0.000 0.113
0.500 0.000 0.383
```

***

[3]
Diffraction record for Ti6Ga16Rh7. The powder XRD pattern is calculated, not measured: it uses a cell relaxed with PBE and copper Kα.

Peak list (10 most intense, 5 to 70 degrees two-theta, in order of rising 2θ)
- 3.526 Å, 2θ = 25.26°, I = 21
- 2.493 Å, 2θ = 36.02°, I = 8
- 2.351 Å, 2θ = 38.29°, I = 20
- 2.159 Å, 2θ = 41.84°, I = 100
- 2.065 Å, 2θ = 43.85°, I = 9
- 2.036 Å, 2θ = 44.51°, I = 8
- 1.841 Å, 2θ = 49.50°, I = 19
- 1.590 Å, 2θ = 58.00°, I = 6
- 1.527 Å, 2θ = 60.65°, I = 12
- 1.401 Å, 2θ = 66.77°, I = 7

Cell and atoms:
```
Ti6Ga16Rh7
1.0
0.000 6.107 6.107
6.107 0.000 6.107
6.107 6.107 0.000
Ti Ga Rh
6 16 7
Direct
0.189 0.189 0.811
0.189 0.811 0.189
0.189 0.811 0.811
0.811 0.189 0.189
0.811 0.189 0.811
0.811 0.811 0.189
0.133 0.622 0.622
0.151 0.151 0.151
0.151 0.151 0.548
0.151 0.548 0.151
0.378 0.378 0.378
0.378 0.378 0.867
0.378 0.867 0.378
0.452 0.849 0.849
0.548 0.151 0.151
0.622 0.133 0.622
0.622 0.622 0.133
0.622 0.622 0.622
0.849 0.452 0.849
0.849 0.849 0.452
0.849 0.849 0.849
0.867 0.378 0.378
0.000 0.000 0.500
0.000 0.500 0.000
0.000 0.500 0.500
0.500 0.000 0.000
0.500 0.000 0.500
0.500 0.500 0.000
0.500 0.500 0.500
```

***

[4]
Diffraction record for ScAs2H4NO7. The powder XRD pattern is calculated, not measured: it uses a cell relaxed with PBE and copper Kα.

Peak list (10 most intense, 5 to 70 degrees two-theta, in order of rising 2θ)
- 6.349 Å, 2θ = 13.95°, I = 100
- 4.605 Å, 2θ = 19.27°, I = 18
- 4.545 Å, 2θ = 19.53°, I = 56
- 4.472 Å, 2θ = 19.86°, I = 37
- 3.666 Å, 2θ = 24.28°, I = 18
- 3.342 Å, 2θ = 26.68°, I = 44
- 3.260 Å, 2θ = 27.36°, I = 26
- 3.211 Å, 2θ = 27.79°, I = 24
- 3.100 Å, 2θ = 28.80°, I = 24
- 2.740 Å, 2θ = 32.68°, I = 24

Cell and atoms:
```
ScAs2H4NO7
1.0
8.548 0.000 0.000
0.000 10.745 0.000
-3.792 0.000 8.943
Sc As H N O
4 8 16 4 28
Direct
0.223 0.143 0.261
0.223 0.357 0.761
0.777 0.643 0.239
0.777 0.857 0.739
0.173 0.059 0.885
0.173 0.441 0.385
0.420 0.113 0.674
0.420 0.387 0.174
0.580 0.613 0.826
0.580 0.887 0.326
0.827 0.559 0.615
0.827 0.941 0.115
0.005 0.695 0.516
0.005 0.805 0.016
0.035 0.559 0.161
0.035 0.941 0.661
0.314 0.699 0.182
0.314 0.801 0.682
0.353 0.563 0.883
0.353 0.937 0.383
0.647 0.063 0.617
0.647 0.437 0.117
0.686 0.199 0.318
0.686 0.301 0.818
0.965 0.059 0.339
0.965 0.441 0.839
0.995 0.195 0.984
0.995 0.305 0.484
0.184 0.695 0.114
0.184 0.805 0.614
0.816 0.195 0.386
0.816 0.305 0.886
0.014 0.024 0.270
0.014 0.476 0.770
0.073 0.124 0.026
0.073 0.376 0.526
0.129 0.202 0.791
0.129 0.298 0.291
0.338 0.093 0.485
0.338 0.407 0.985
0.349 0.010 0.768
0.349 0.490 0.268
0.359 0.568 0.783
0.359 0.932 0.283
0.424 0.235 0.227
0.424 0.265 0.727
0.576 0.735 0.273
0.576 0.765 0.773
0.641 0.068 0.717
0.641 0.432 0.217
0.651 0.510 0.732
0.651 0.990 0.232
0.662 0.593 0.015
0.662 0.907 0.515
0.871 0.702 0.709
0.871 0.798 0.209
0.927 0.624 0.474
0.927 0.876 0.974
0.986 0.524 0.230
0.986 0.976 0.730
```

***

[5]
Diffraction record for CuPb2Cl2O2. The powder XRD pattern is calculated, not measured: it uses a cell relaxed with PBE and copper Kα.

Peak list (10 most intense, 5 to 70 degrees two-theta, in order of rising 2θ)
- 8.156 Å, 2θ = 10.85°, I = 31
- 4.078 Å, 2θ = 21.80°, I = 23
- 3.894 Å, 2θ = 22.84°, I = 50
- 3.227 Å, 2θ = 27.64°, I = 21
- 2.836 Å, 2θ = 31.55°, I = 66
- 2.531 Å, 2θ = 35.47°, I = 100
- 2.328 Å, 2θ = 38.68°, I = 34
- 2.005 Å, 2θ = 45.22°, I = 31
- 1.652 Å, 2θ = 55.65°, I = 15
- 1.572 Å, 2θ = 58.75°, I = 46

Cell and atoms:
```
CuPb2Cl2O2
1.0
4.010 0.000 0.000
0.000 4.010 0.000
0.000 0.000 16.311
Cu Pb Cl O
2 4 4 4
Direct
0.000 0.000 0.000
0.500 0.500 0.500
0.000 0.000 0.393
0.000 0.000 0.607
0.500 0.500 0.107
0.500 0.500 0.893
0.000 0.000 0.181
0.000 0.000 0.819
0.500 0.500 0.319
0.500 0.500 0.681
0.000 0.500 0.000
0.000 0.500 0.500
0.500 0.000 0.000
0.500 0.000 0.500
```

***

[6]
Diffraction record for TmI3O11. The powder XRD pattern is calculated, not measured: it uses a cell relaxed with PBE and copper Kα.

Peak list (10 most intense, 5 to 70 degrees two-theta, in order of rising 2θ)
- 10.030 Å, 2θ = 8.82°, I = 83
- 6.909 Å, 2θ = 12.81°, I = 92
- 5.891 Å, 2θ = 15.04°, I = 100
- 5.409 Å, 2θ = 16.39°, I = 54
- 3.736 Å, 2θ = 23.82°, I = 73
- 3.687 Å, 2θ = 24.14°, I = 97
- 3.440 Å, 2θ = 25.90°, I = 78
- 3.416 Å, 2θ = 26.09°, I = 70
- 3.136 Å, 2θ = 28.46°, I = 55
- 3.113 Å, 2θ = 28.68°, I = 99

Cell and atoms:
```
TmI3O11
1.0
6.992 0.000 0.000
-2.637 7.037 0.000
-2.807 -1.935 10.030
Tm I O
2 6 22
Direct
0.101 0.424 0.289
0.899 0.576 0.711
0.265 0.727 0.043
0.278 0.360 0.661
0.318 0.856 0.575
0.682 0.144 0.425
0.722 0.640 0.339
0.735 0.273 0.957
0.068 0.622 0.131
0.092 0.795 0.908
0.096 0.844 0.640
0.141 0.720 0.406
0.221 0.166 0.276
0.235 0.560 0.747
0.257 0.219 0.891
0.292 0.464 0.511
0.376 0.100 0.535
0.429 0.543 0.250
0.439 0.959 0.151
0.561 0.041 0.849
0.571 0.457 0.750
0.624 0.900 0.465
0.708 0.536 0.489
0.743 0.781 0.109
0.765 0.440 0.253
0.779 0.834 0.724
0.859 0.280 0.594
0.904 0.156 0.360
0.908 0.205 0.092
0.932 0.378 0.869
```

***

[7]
Diffraction record for CsYHgSe3. The powder XRD pattern is calculated, not measured: it uses a cell relaxed with PBE and copper Kα.

Peak list (10 most intense, 5 to 70 degrees two-theta, in order of rising 2θ)
- 8.206 Å, 2θ = 10.78°, I = 58
- 3.309 Å, 2θ = 26.95°, I = 25
- 3.240 Å, 2θ = 27.53°, I = 100
- 2.896 Å, 2θ = 30.88°, I = 34
- 2.797 Å, 2θ = 31.99°, I = 39
- 2.507 Å, 2θ = 35.82°, I = 24
- 2.366 Å, 2θ = 38.03°, I = 23
- 2.154 Å, 2θ = 41.94°, I = 24
- 1.867 Å, 2θ = 48.79°, I = 35
- 1.804 Å, 2θ = 50.61°, I = 34

Cell and atoms:
```
CsYHgSe3
1.0
2.154 -8.206 0.000
2.154 8.206 0.000
0.000 0.000 11.190
Cs Y Hg Se
2 2 2 6
Direct
0.245 0.755 0.750
0.755 0.245 0.250
0.500 0.500 0.000
0.500 0.500 0.500
0.045 0.955 0.250
0.955 0.045 0.750
0.118 0.882 0.041
0.118 0.882 0.459
0.439 0.561 0.250
0.561 0.439 0.750
0.882 0.118 0.541
0.882 0.118 0.959
```